[1]
Starting from DFT lattice parameters and positions (PBE), the X-ray diffraction stick pattern of KLiCoRe was computed for λ = 1.5418 Å (Cu Kα).

Cell and atoms:
```
data_KLiCoRe
_chemical_formula_sum 'K4 Li4 Co4 Re4'
_cell_length_a 6.300
_cell_length_b 6.300
_cell_length_c 6.300
_cell_angle_alpha 90.00
_cell_angle_beta 90.00
_cell_angle_gamma 90.00
_space_group_name_H-M_alt 'P 1'
_space_group_IT_number 1
_space_group_name_Hall 'P 1'
loop_
_atom_site_label
_atom_site_type_symbol
_atom_site_fract_x
_atom_site_fract_y
_atom_site_fract_z
K1 K 0.000 0.000 0.000
K2 K 0.000 0.500 0.500
K3 K 0.500 0.000 0.500
K4 K 0.500 0.500 0.000
Li1 Li 0.250 0.250 0.250
Li2 Li 0.250 0.750 0.750
Li3 Li 0.750 0.250 0.750
Li4 Li 0.750 0.750 0.250
Co1 Co 0.000 0.000 0.500
Co2 Co 0.000 0.500 0.000
Co3 Co 0.500 0.000 0.000
Co4 Co 0.500 0.500 0.500
Re1 Re 0.250 0.250 0.750
Re2 Re 0.250 0.750 0.250
Re3 Re 0.750 0.250 0.250
Re4 Re 0.750 0.750 0.750
```

Top 10 peaks for 2θ = 15–90°, by angle:
2theta, I/Imax
24.47, 95
28.33, 11
40.50, 100
47.89, 48
58.61, 16
64.47, 20
66.36, 5
73.66, 33
78.96, 15
87.61, 11

[2]
Starting from DFT lattice parameters and positions (PBE), the X-ray diffraction stick pattern of Tb3Si2S8I was computed for λ = 1.5418 Å (Cu Kα).

Cell and atoms:
```
data_Tb3Si2S8I
_chemical_formula_sum 'Tb6 Si4 S16 I2'
_cell_length_a 8.739
_cell_length_b 8.739
_cell_length_c 10.678
_cell_angle_alpha 98.16
_cell_angle_beta 98.16
_cell_angle_gamma 52.04
_space_group_name_H-M_alt 'P 1'
_space_group_IT_number 1
_space_group_name_Hall 'P 1'
loop_
_atom_site_label
_atom_site_type_symbol
_atom_site_fract_x
_atom_site_fract_y
_atom_site_fract_z
Tb1 Tb 0.112 0.888 0.750
Tb2 Tb 0.173 0.424 0.319
Tb3 Tb 0.424 0.173 0.819
Tb4 Tb 0.576 0.827 0.181
Tb5 Tb 0.827 0.576 0.681
Tb6 Tb 0.888 0.112 0.250
Si1 Si 0.120 0.196 0.025
Si2 Si 0.196 0.120 0.525
Si3 Si 0.804 0.880 0.475
Si4 Si 0.880 0.804 0.975
S1 S 0.050 0.245 0.829
S2 S 0.096 0.770 0.465
S3 S 0.109 0.604 0.854
S4 S 0.215 0.351 0.587
S5 S 0.230 0.904 0.035
S6 S 0.245 0.050 0.329
S7 S 0.351 0.215 0.087
S8 S 0.396 0.891 0.646
S9 S 0.604 0.109 0.354
S10 S 0.649 0.785 0.913
S11 S 0.755 0.950 0.671
S12 S 0.770 0.096 0.965
S13 S 0.785 0.649 0.413
S14 S 0.891 0.396 0.146
S15 S 0.904 0.230 0.535
S16 S 0.950 0.755 0.171
I1 I 0.482 0.518 0.250
I2 I 0.518 0.482 0.750
```

Top 10 peaks for 2θ = 15–90°, by angle:
2theta, I/Imax
16.82, 100
23.40, 43
24.71, 75
26.29, 56
33.01, 81
34.66, 47
35.07, 36
35.61, 37
38.13, 33
39.52, 41

[3]
Starting from DFT lattice parameters and positions (PBE), the X-ray diffraction stick pattern of AlInCu2Se3S was computed for λ = 1.5418 Å (Cu Kα).

Cell and atoms:
```
data_AlInCu2Se3S
_chemical_formula_sum 'Al1 In1 Cu2 Se3 S1'
_cell_length_a 5.675
_cell_length_b 5.680
_cell_length_c 6.906
_cell_angle_alpha 114.01
_cell_angle_beta 114.01
_cell_angle_gamma 90.16
_space_group_name_H-M_alt 'P 1'
_space_group_IT_number 1
_space_group_name_Hall 'P 1'
loop_
_atom_site_label
_atom_site_type_symbol
_atom_site_fract_x
_atom_site_fract_y
_atom_site_fract_z
Al1 Al 0.000 0.000 0.000
In1 In 0.248 0.759 0.492
Cu1 Cu 0.525 0.524 0.006
Cu2 Cu 0.763 0.235 0.480
Se1 Se 0.121 0.619 0.760
Se2 Se 0.388 0.355 0.231
Se3 Se 0.655 0.153 0.759
S1 S 0.865 0.888 0.229
```

Top 10 peaks for 2θ = 15–90°, by angle:
2theta, I/Imax
17.47, 9
27.23, 100
27.35, 36
45.10, 16
45.23, 47
45.40, 32
53.51, 24
53.74, 13
65.80, 9
83.77, 9